Structure and computed XRD peak list of Mg6CrBiO8 (a DFT-relaxed cell (PBE+U, the Materials Project); Cu Ka).

Peak list (10 most intense, 10 to 90 degrees two-theta, by angle)
2θ 19.41, I = 49, (0 0 2)
2θ 19.79, I = 45, (1 0 0)
2θ 22.07, I = 71, (1 0 1)
2θ 27.86, I = 41, (1 0 2)
2θ 29.81, I = 69, (1 1 1)
2θ 34.41, I = 82, (1 1 2)
2θ 39.40, I = 48, (0 0 4)
2θ 40.21, I = 100, (2 0 0)
2θ 57.56, I = 58, (2 0 4)
2θ 58.18, I = 44, (2 2 0)

Unit cell a=4.4856 b=4.4856 c=9.1480 alpha=90.00 beta=90.00 gamma=90.00
Positions (direct):
Mg 0.0000 0.0000 0.0000
Mg 0.0000 0.5000 0.2282
Mg 0.0000 0.5000 0.7718
Mg 0.5000 0.0000 0.2282
Mg 0.5000 0.0000 0.7718
Mg 0.5000 0.5000 0.0000
Cr 0.0000 0.0000 0.5000
Bi 0.5000 0.5000 0.5000
O 0.0000 0.0000 0.2249
O 0.0000 0.0000 0.7751
O 0.0000 0.5000 0.0000
O 0.0000 0.5000 0.5000
O 0.5000 0.0000 0.0000
O 0.5000 0.0000 0.5000
O 0.5000 0.5000 0.2280
O 0.5000 0.5000 0.7720